(1)
The following is a computed powder diffraction line list of Sb4C23. It was derived from a structure optimized by DFT (GGA-PBE), using Cu Kα (weighted mean of Kα1 and Kα2).

Crystal structure
Unit cell a=7.579 b=7.579 c=7.579 alpha=90.00 beta=90.00 gamma=90.00
Space group Pm-3n (No. 223)
One atom of each set of equivalent atoms:
Sb: 0.000 0.000 0.000 x2
Sb: 0.000 0.250 0.500 x6
C: 0.000 0.287 0.193 x24
C: 0.000 0.500 0.250 x6
C: 0.187 0.187 0.187 x16

The 10 most intense peaks (10° ≤ 2θ ≤ 90°), in order of rising 2θ:
(hkl), d [Å], two_theta, I/Imax
2 0 0, 3.789, 23.48, 18
2 1 0, 3.389, 26.30, 89
2 1 1, 3.094, 28.86, 100
3 2 0, 2.102, 43.03, 48
3 2 1, 2.025, 44.74, 87
4 0 0, 1.895, 48.02, 36
4 2 1, 1.654, 55.57, 24
4 3 2, 1.407, 66.43, 26
4 4 0, 1.340, 70.26, 20
5 3 2, 1.229, 77.67, 27

(2)
The following is a computed powder diffraction line list of Tc3Se2. It was derived from a structure optimized by DFT (GGA-PBE), using Cu Kα (weighted mean of Kα1 and Kα2).

Crystal structure
Unit cell a=2.9682 b=2.9682 c=30.3515 alpha=90.00 beta=90.00 gamma=120.00
Space group R-3m (No. 166, hexagonal axes)
One atom of each set of equivalent atoms:
Tc: 0.0000 0.0000 0.0000 x3
Tc: 0.0000 0.0000 0.1998 x6
Se: 0.0000 0.0000 0.3968 x6

The 10 most intense peaks (10° ≤ 2θ ≤ 90°), in order of rising 2θ:
(hkl), d [Å], two_theta, I/Imax
0 0 6, 5.059, 17.53, 3
0 1 5, 2.367, 38.01, 100
0 0 15, 2.023, 44.79, 20
1 0 10, 1.962, 46.28, 56
1 1 0, 1.484, 62.59, 23
0 1 20, 1.307, 72.30, 14
2 0 5, 1.257, 75.63, 13
1 1 15, 1.197, 80.21, 21
0 2 10, 1.184, 81.29, 10
1 0 25, 1.098, 89.22, 8

(3)
The following is a computed powder diffraction line list of Na2Nb3S6. It was derived from a structure optimized by DFT (GGA-PBE), using Cu Kα (weighted mean of Kα1 and Kα2).

Crystal structure
Unit cell a=5.8994 b=5.8994 c=43.5126 alpha=90.00 beta=90.00 gamma=120.00
Space group R32 (No. 155, hexagonal axes)
One atom of each set of equivalent atoms:
Na: 0.0000 0.0000 0.0831 x6
Na: 0.0000 0.0000 0.4164 x6
Nb: 0.0000 0.0000 0.1668 x6
Nb: 0.0000 0.0000 0.5000 x3
Nb: 0.0004 0.3333 0.3333 x9
S: 0.9998 0.6674 0.2023 x18
S: 0.9999 0.6673 0.2978 x18

The 10 most intense peaks (10° ≤ 2θ ≤ 90°), in order of rising 2θ:
(hkl), d [Å], two_theta, I/Imax
0 0 6, 7.252, 12.20, 100
1 1 3, 2.891, 30.94, 48
1 1 9, 2.518, 35.66, 33
1 1 12, 2.288, 39.38, 47
1 1 15, 2.068, 43.77, 18
1 1 18, 1.870, 48.70, 13
3 0 0, 1.703, 53.83, 21
1 1 21, 1.696, 54.09, 10
3 0 6, 1.658, 55.42, 11
3 0 24, 1.241, 76.79, 11